1.
The following is a theoretical powder diffraction line list of Tl2H2Br2O. It was derived from the PBE geometry in Alexandria, using Cu Kα (weighted mean of Kα1 and Kα2).
Neutral-atom scattering factors, no anomalous dispersion.

Cell and atoms:
```
Tl2H2Br2O
1.0
4.4142 0.0000 0.0000
1.5613 6.1588 0.0000
1.5644 0.7604 6.1183
Tl H Br O
2 2 2 1
Cartesian
0.7855 1.7931 1.4470
6.7544 5.1261 4.6713
4.2063 5.8397 2.4478
3.3336 1.0795 3.6705
2.9955 4.5270 1.2915
4.5444 2.3922 4.8268
2.9893 0.3802 3.0592
```

Top 6 peaks for 2θ from 10° to 90°, in order of rising 2θ:
d 4.618, rel. 37
d 3.756, rel. 50
d 3.058, rel. 100
d 2.920, rel. 87
d 2.763, rel. 43
d 2.699, rel. 37

=====

2.
The following is a theoretical powder diffraction line list of ZnH4Br2O2. It was derived from the PBE geometry in Alexandria, using Cu Kα (weighted mean of Kα1 and Kα2).
Neutral-atom scattering factors, no anomalous dispersion.

Cell and atoms:
```
ZnH4Br2O2
1.0
-3.8965 5.1676 5.4796
3.8965 -5.1676 5.4796
3.8965 5.1676 -5.4796
Zn H Br O
3 12 6 6
Cartesian
0.0000 0.0000 0.0000
3.8965 0.0000 3.8102
0.0000 5.1676 1.6694
2.0791 1.5868 -0.7815
5.7140 1.5868 -0.7815
3.8965 4.3593 -2.8065
2.0791 1.5868 0.7815
5.7140 1.5868 0.7815
0.0000 0.8082 2.6731
3.8965 4.3593 2.8065
-1.8174 3.5808 4.6981
1.8174 3.5808 4.6981
0.0000 0.8082 8.2861
-1.8174 3.5808 6.2611
1.8174 3.5808 6.2611
3.8965 -1.9311 2.3378
3.8965 1.9311 2.3378
1.8423 5.1676 0.0000
2.0543 0.0000 5.4796
0.0000 3.2365 3.1418
0.0000 7.0986 3.1418
1.4838 1.5113 0.0000
6.3093 1.5113 0.0000
0.0000 0.0000 2.1170
0.0000 0.0000 8.8422
-2.4128 3.6563 5.4796
2.4128 3.6563 5.4796
```

Top 6 peaks for 2θ from 10° to 90°, in order of rising 2θ:
d 6.222, rel. 43
d 4.112, rel. 56
d 4.008, rel. 67
d 3.760, rel. 65
d 3.176, rel. 100
d 2.108, rel. 78

=====

3.
The following is a theoretical powder diffraction line list of ZnH2Br2O. It was derived from the PBE geometry in Alexandria, using Cu Kα (weighted mean of Kα1 and Kα2).
Neutral-atom scattering factors, no anomalous dispersion.

Cell and atoms:
```
ZnH2Br2O
1.0
7.4072 -3.5948 0.0000
7.4072 3.5948 0.0000
0.0000 0.0000 5.3359
Zn H Br O
2 4 4 2
Cartesian
7.4072 2.2020 2.6680
7.4072 -2.2020 0.0000
6.6119 2.2122 0.1329
8.2025 2.2122 0.1329
6.6119 -2.2122 2.8008
8.2025 -2.2122 2.8008
5.3601 1.7269 3.6580
9.4543 1.7269 3.6580
5.3601 -1.7269 0.9900
9.4543 -1.7269 0.9900
7.4072 2.5542 0.6493
7.4072 -2.5542 3.3173
```

Top 6 peaks for 2θ from 10° to 90°, in order of rising 2θ:
d 7.407, rel. 25
d 4.116, rel. 100
d 3.595, rel. 54
d 3.236, rel. 65
d 2.164, rel. 39
d 1.854, rel. 31